K2GaBr5: computed PXRD pattern (Cu Ka), based on a GGA-PBE-relaxed structure.

Top 10 peaks for 2θ from 10° to 80°, low angle first:
2theta	intensity	h k l
11.72	324	1 0 1
13.42	771	1 1 1
19.36	449	2 2 0
23.40	360	3 0 1
23.96	1000	1 2 2
24.47	360	2 1 2
25.17	350	3 2 0
31.49	368	2 4 1
34.45	320	4 0 2
37.91	413	0 0 4

Crystal structure
```
data_K2GaBr5
_cell_length_a 12.444
_cell_length_b 13.565
_cell_length_c 9.501
_cell_angle_alpha 90.00
_cell_angle_beta 90.00
_cell_angle_gamma 90.00
_symmetry_space_group_name_H-M 'P n n m'
_symmetry_Int_Tables_number 58
_symmetry_space_group_name_Hall '-P 2 2n'
loop_
_atom_site_label
_atom_site_fract_x
_atom_site_fract_y
_atom_site_fract_z
K1 0.000 0.000 0.225
K2 0.131 0.331 0.000
Ga1 0.246 0.725 0.000
Br1 0.075 0.163 0.500
Br2 0.125 0.588 0.000
Br3 0.138 0.108 0.000
Br4 0.214 0.821 0.202
```